Diffraction record for MgFe8O14F2. The X-ray diffraction stick pattern is simulated, not measured: it uses a crystal structure in Alexandria, relaxed with GGA+U and Cu Ka.
Intensities are scaled so that the largest is 100.

Unit cell a=5.718 b=7.311 c=7.665 alpha=82.35 beta=71.31 gamma=70.68
Positions (direct):
1 Mg 0.000 0.000 0.000
2 Fe 0.067 0.372 0.666
3 Fe 0.138 0.846 0.623
4 Fe 0.387 0.587 0.864
5 Fe 0.482 0.109 0.822
6 Fe 0.551 0.889 0.196
7 Fe 0.635 0.385 0.132
8 Fe 0.887 0.123 0.384
9 Fe 0.961 0.598 0.327
10 O 0.050 0.760 0.871
11 O 0.071 0.616 0.536
12 O 0.177 0.101 0.741
13 O 0.231 0.957 0.382
14 O 0.290 0.529 0.123
15 O 0.317 0.377 0.778
16 O 0.470 0.712 0.633
17 O 0.610 0.107 0.030
18 O 0.696 0.612 0.219
19 O 0.729 0.455 0.863
20 O 0.797 0.014 0.631
21 O 0.853 0.883 0.272
22 O 0.951 0.349 0.463
23 O 0.968 0.222 0.139
24 F 0.391 0.872 0.986
25 F 0.530 0.266 0.387

Largest 6 diffraction maxima, most intense first, 2θ = 10–90°:
- 23.95°, 3.716 Å, intensity 100
- 26.44°, 3.372 Å, intensity 99
- 36.10°, 2.488 Å, intensity 39
- 36.51°, 2.461 Å, intensity 27
- 39.82°, 2.264 Å, intensity 25
- 36.30°, 2.475 Å, intensity 22


Diffraction record for MgFe10O16F4. The X-ray diffraction stick pattern is simulated, not measured: it uses a crystal structure in Alexandria, relaxed with GGA+U and Cu Ka.
Intensities are scaled so that the largest is 100.

Unit cell a=4.877 b=5.519 c=12.788 alpha=101.39 beta=90.14 gamma=90.36
Positions (direct):
1 Mg 0.000 0.000 0.000
2 Fe 0.014 0.201 0.295
3 Fe 0.445 0.523 0.498
4 Fe 0.453 0.291 0.695
5 Fe 0.483 0.726 0.296
6 Fe 0.509 0.104 0.898
7 Fe 0.516 0.931 0.105
8 Fe 0.952 0.518 0.873
9 Fe 0.952 0.789 0.683
10 Fe 0.964 0.454 0.115
11 Fe 0.990 0.993 0.487
12 O 0.153 0.053 0.630
13 O 0.158 0.270 0.438
14 O 0.181 0.477 0.240
15 O 0.276 0.562 0.639
16 O 0.292 0.337 0.839
17 O 0.294 0.770 0.429
18 O 0.318 0.978 0.237
19 O 0.341 0.175 0.035
20 O 0.659 0.667 0.161
21 O 0.660 0.826 0.954
22 O 0.669 0.040 0.760
23 O 0.774 0.751 0.546
24 O 0.776 0.525 0.743
25 O 0.805 0.951 0.354
26 O 0.827 0.316 0.967
27 O 0.850 0.146 0.152
28 F 0.142 0.848 0.849
29 F 0.154 0.694 0.036
30 F 0.649 0.244 0.550
31 F 0.660 0.446 0.353

Largest 6 diffraction maxima, most intense first, 2θ = 10–90°:
- 26.40°, 3.376 Å, intensity 100
- 26.60°, 3.351 Å, intensity 93
- 35.31°, 2.542 Å, intensity 55
- 35.81°, 2.508 Å, intensity 50
- 53.33°, 1.718 Å, intensity 32
- 52.22°, 1.752 Å, intensity 28


Diffraction record for MgFe8O14F2. The X-ray diffraction stick pattern is simulated, not measured: it uses a crystal structure in Alexandria, relaxed with GGA+U and Cu Ka.
Intensities are scaled so that the largest is 100.

Unit cell a=4.819 b=4.842 c=11.777 alpha=89.36 beta=89.79 gamma=89.67
Positions (direct):
1 Mg 0.000 0.000 0.000
2 Fe 0.021 0.501 0.500
3 Fe 0.027 0.516 0.258
4 Fe 0.065 0.500 0.991
5 Fe 0.490 0.970 0.133
6 Fe 0.520 0.992 0.618
7 Fe 0.520 0.997 0.872
8 Fe 0.524 0.009 0.374
9 Fe 0.980 0.528 0.746
10 O 0.167 0.721 0.121
11 O 0.177 0.749 0.875
12 O 0.197 0.696 0.619
13 O 0.209 0.694 0.380
14 O 0.335 0.192 0.494
15 O 0.341 0.195 0.250
16 O 0.346 0.204 0.007
17 O 0.671 0.783 0.007
18 O 0.684 0.810 0.744
19 O 0.693 0.802 0.252
20 O 0.709 0.814 0.492
21 O 0.831 0.313 0.618
22 O 0.838 0.314 0.377
23 O 0.851 0.281 0.882
24 F 0.333 0.226 0.747
25 F 0.854 0.266 0.121

Largest 6 diffraction maxima, most intense first, 2θ = 10–90°:
- 26.01°, 3.425 Å, intensity 100
- 26.16°, 3.406 Å, intensity 98
- 52.71°, 1.737 Å, intensity 53
- 35.84°, 2.506 Å, intensity 49
- 52.33°, 1.748 Å, intensity 33
- 35.51°, 2.528 Å, intensity 26


Diffraction record for MgFe8O14F2. The X-ray diffraction stick pattern is simulated, not measured: it uses a crystal structure in Alexandria, relaxed with GGA+U and Cu Ka.
Intensities are scaled so that the largest is 100.

Unit cell a=5.010 b=5.056 c=11.552 alpha=89.62 beta=89.82 gamma=82.87
Positions (direct):
1 Mg 0.000 0.000 0.000
2 Fe 0.046 0.625 0.377
3 Fe 0.050 0.608 0.624
4 Fe 0.472 0.044 0.495
5 Fe 0.477 0.037 0.750
6 Fe 0.487 0.059 0.001
7 Fe 0.510 0.015 0.247
8 Fe 0.930 0.493 0.865
9 Fe 0.930 0.497 0.126
10 O 0.152 0.353 0.997
11 O 0.183 0.366 0.749
12 O 0.201 0.385 0.497
13 O 0.302 0.876 0.622
14 O 0.302 0.902 0.887
15 O 0.302 0.903 0.117
16 O 0.303 0.880 0.371
17 O 0.658 0.183 0.371
18 O 0.700 0.196 0.882
19 O 0.704 0.187 0.118
20 O 0.779 0.709 0.997
21 O 0.790 0.728 0.747
22 O 0.797 0.711 0.251
23 O 0.813 0.759 0.501
24 F 0.197 0.372 0.247
25 F 0.658 0.215 0.623

Largest 6 diffraction maxima, most intense first, 2θ = 10–90°:
- 23.58°, 3.773 Å, intensity 100
- 26.77°, 3.331 Å, intensity 83
- 35.97°, 2.497 Å, intensity 54
- 53.52°, 1.712 Å, intensity 39
- 35.79°, 2.509 Å, intensity 32
- 64.55°, 1.444 Å, intensity 21